No. 1
# Na3YZrSiP2O12
Calculated powder diffractogram, λ = 1.5418 Å (Cu Kα). Input: a GGA-PBE-relaxed structure.
Intensities are scaled so that the largest is 100.

The 8 most intense peaks (10° ≤ 2θ ≤ 90°), by intensity:
2θ 19.1, rel. 100
2θ 33.5, rel. 50
2θ 30.4, rel. 49
2θ 22.5, rel. 34
2θ 27.2, rel. 27
2θ 30.5, rel. 23
2θ 13.5, rel. 17
2θ 43.7, rel. 17

Structural model:
Lattice parameters (Å, degrees): 16.0538 9.2713 9.2648 90.00 125.00 90.00
Space group Cc (No. 9)
Symmetry-distinct sites (fractional):
1 Na 0.0000 0.0684 0.0000 x4
2 Na 0.0723 0.2896 0.7118 x4
3 Na 0.3241 0.1110 0.9723 x4
4 Y 0.4202 0.2454 0.7690 x4
5 Zr 0.2122 0.2575 0.1498 x4
6 Si 0.4618 0.1121 0.4421 x4
7 P 0.1682 0.0912 0.4588 x4
8 P 0.3127 0.4549 0.9687 x4
9 O 0.0590 0.3102 0.9557 x4
10 O 0.0744 0.1424 0.4509 x4
11 O 0.1664 0.1403 0.2931 x4
12 O 0.1665 0.0777 0.9533 x4
13 O 0.2291 0.3603 0.9573 x4
14 O 0.2587 0.4363 0.3100 x4
15 O 0.2650 0.1455 0.6280 x4
16 O 0.3543 0.1668 0.2557 x4
17 O 0.3732 0.4637 0.6422 x4
18 O 0.3858 0.3567 0.9554 x4
19 O 0.4582 0.1769 0.5996 x4
20 O 0.4687 0.0635 0.9571 x4


No. 2
# Na6Zr3ZnSi2P4O24
Calculated powder diffractogram, λ = 1.5418 Å (Cu Kα). Input: a GGA-PBE-relaxed structure.
Intensities are scaled so that the largest is 100.

The 8 most intense peaks (10° ≤ 2θ ≤ 90°), by intensity:
2θ 19.4, rel. 100
2θ 34.0, rel. 78
2θ 19.3, rel. 68
2θ 30.7, rel. 64
2θ 30.9, rel. 36
2θ 22.7, rel. 32
2θ 27.5, rel. 28
2θ 13.6, rel. 28

Structural model:
Lattice parameters (Å, degrees): 9.1310 9.1392 9.1508 90.23 119.92 119.49
Space group P1 (No. 1)
Symmetry-distinct sites (fractional):
1 Na 0.0000 0.0000 0.0000 x1
2 Na 0.0185 0.5239 0.5126 x1
3 Na 0.1322 0.1898 0.7328 x1
4 Na 0.4797 0.2261 0.4016 x1
5 Na 0.5073 0.7729 0.6161 x1
6 Na 0.9028 0.7924 0.2769 x1
7 Zr 0.2930 0.4422 0.1472 x1
8 Zr 0.7082 0.5565 0.8490 x1
9 Zr 0.7112 0.0635 0.3487 x1
10 Zn 0.2909 0.9433 0.6529 x1
11 Si 0.2018 0.2471 0.4509 x1
12 Si 0.8006 0.7485 0.5482 x1
13 P 0.2067 0.7579 0.2488 x1
14 P 0.4966 0.7445 0.9496 x1
15 P 0.5026 0.2515 0.0430 x1
16 P 0.7870 0.2330 0.7464 x1
17 O 0.0137 0.2438 0.4394 x1
18 O 0.0191 0.7497 0.0929 x1
19 O 0.1905 0.2604 0.2663 x1
20 O 0.1950 0.7468 0.4093 x1
21 O 0.2000 0.0726 0.4809 x1
22 O 0.2087 0.5978 0.1920 x1
23 O 0.3432 0.2604 0.0601 x1
24 O 0.3583 0.7547 0.7713 x1
25 O 0.3720 0.5735 0.9805 x1
26 O 0.3736 0.0895 0.8810 x1
27 O 0.4069 0.9328 0.2934 x1
28 O 0.4178 0.4247 0.6259 x1
29 O 0.5766 0.5749 0.3761 x1
30 O 0.5959 0.0597 0.7051 x1
31 O 0.6155 0.9067 0.1166 x1
32 O 0.6353 0.4259 0.0193 x1
33 O 0.6465 0.2427 0.2244 x1
34 O 0.6705 0.7461 0.9515 x1
35 O 0.7823 0.3959 0.7911 x1
36 O 0.7949 0.2416 0.5785 x1
37 O 0.7965 0.9250 0.5080 x1
38 O 0.8031 0.7440 0.7302 x1
39 O 0.9821 0.7527 0.5564 x1
40 O 0.9852 0.2530 0.8980 x1